Theoretical powder X-ray diffraction pattern of CaFeTc2O8 for copper Kα, from a structure optimized by DFT (PBE+U).

Structural model:
```
CaFeTc2O8
1.0
5.832 0.000 0.000
-2.916 5.051 0.000
0.000 0.000 6.377
Ca Fe Tc O
1 1 2 8
Direct
0.000 0.000 0.000
0.000 0.000 0.500
0.333 0.667 0.788
0.667 0.333 0.212
0.161 0.321 0.714
0.161 0.839 0.714
0.321 0.161 0.286
0.333 0.667 0.063
0.667 0.333 0.937
0.679 0.839 0.714
0.839 0.161 0.286
0.839 0.679 0.286
```

Largest 10 diffraction maxima, in order of rising 2θ, 10 to 90 degrees two-theta:
| index | 2θ (°) | Rel. int. |
| --- | --- | --- |
| 0 1 1 | 22.46 | 100 |
| 1 1 0 | 30.66 | 54 |
| 1 0 2 | 33.23 | 26 |
| 0 2 2 | 45.84 | 22 |
| 0 1 3 | 46.34 | 12 |
| 1 2 1 | 49.86 | 23 |
| 3 0 0 | 54.50 | 10 |
| 2 1 2 | 56.16 | 13 |
| 2 2 0 | 63.84 | 11 |
| 1 2 3 | 65.74 | 8 |